Starting from the PBE geometry in Alexandria, the XRD peak list of La7Pr12Sc was simulated for Cu Kα.

Principal peaks in the range 2θ = 5–70°, by angle:
- 27.99°, 3.188 Å, I = 45
- 28.15°, 3.169 Å, I = 17
- 29.59°, 3.019 Å, I = 25
- 30.51°, 2.930 Å, I = 13
- 30.82°, 2.902 Å, I = 100
- 31.85°, 2.809 Å, I = 11
- 32.58°, 2.749 Å, I = 47
- 34.66°, 2.588 Å, I = 37
- 48.71°, 1.869 Å, I = 13
- 50.13°, 1.820 Å, I = 18
- 51.13°, 1.786 Å, I = 10
- 61.86°, 1.500 Å, I = 16

Crystal structure
```
La7Pr12Sc
1.0
7.6768 4.4322 3.5040
-7.6768 4.4322 3.5040
0.0000 -8.8644 3.5040
La Pr Sc
7 12 1
direct
0.0000 0.0000 0.0000
0.1789 0.6026 0.4890
0.3974 0.5110 0.8211
0.4890 0.1789 0.6026
0.5110 0.8211 0.3974
0.6026 0.4890 0.1789
0.8211 0.3974 0.5110
0.1023 0.8124 0.2704
0.1055 0.2099 0.4444
0.1876 0.7296 0.8977
0.2099 0.4444 0.1055
0.2704 0.1023 0.8124
0.4444 0.1055 0.2099
0.5556 0.8945 0.7901
0.7296 0.8977 0.1876
0.7901 0.5556 0.8945
0.8124 0.2704 0.1023
0.8945 0.7901 0.5556
0.8977 0.1876 0.7296
0.5000 0.5000 0.5000
```

=====

Starting from the PBE geometry in Alexandria, the XRD peak list of La8Pr3Sc was simulated for Cu Kα.

Principal peaks in the range 2θ = 5–70°, by angle:
- 23.65°, 3.761 Å, I = 81
- 25.13°, 3.544 Å, I = 89
- 28.44°, 3.138 Å, I = 83
- 30.35°, 2.945 Å, I = 79
- 32.06°, 2.791 Å, I = 41
- 35.43°, 2.534 Å, I = 100
- 42.08°, 2.147 Å, I = 53
- 43.59°, 2.076 Å, I = 48
- 48.40°, 1.881 Å, I = 28
- 55.01°, 1.669 Å, I = 30
- 57.27°, 1.609 Å, I = 29
- 67.66°, 1.385 Å, I = 30

Crystal structure
```
La8Pr3Sc
1.0
-4.4376 4.4376 5.8902
4.4376 -4.4376 5.8902
4.4376 4.4376 -5.8902
La Pr Sc
8 3 1
direct
0.1289 0.1289 0.7519
0.2423 0.7271 0.0000
0.2729 0.2729 0.5152
0.3770 0.3770 0.2481
0.6230 0.8711 0.0000
0.7271 0.2423 0.0000
0.7577 0.7577 0.4848
0.8711 0.6230 0.0000
0.0000 0.0000 0.0000
0.2500 0.7500 0.5000
0.7500 0.2500 0.5000
0.5000 0.5000 0.0000
```

=====

Starting from the PBE geometry in Alexandria, the XRD peak list of La4Pr6Sc was simulated for Cu Kα.

Principal peaks in the range 2θ = 5–70°, by angle:
- 28.93°, 3.086 Å, I = 100
- 29.05°, 3.073 Å, I = 8
- 31.91°, 2.805 Å, I = 47
- 35.54°, 2.526 Å, I = 7
- 36.57°, 2.457 Å, I = 10
- 41.07°, 2.198 Å, I = 8
- 46.09°, 1.969 Å, I = 16
- 49.31°, 1.848 Å, I = 9
- 55.85°, 1.646 Å, I = 10
- 57.92°, 1.592 Å, I = 11
- 59.17°, 1.561 Å, I = 21
- 61.22°, 1.514 Å, I = 12

Crystal structure
```
La4Pr6Sc
1.0
8.8687 0.0000 0.0000
0.0000 8.8687 0.0000
0.0000 0.0000 9.8290
La Pr Sc
8 12 2
direct
0.1455 0.3545 0.2500
0.1455 0.3545 0.7500
0.3545 0.8545 0.2500
0.3545 0.8545 0.7500
0.6455 0.1455 0.2500
0.6455 0.1455 0.7500
0.8545 0.6455 0.2500
0.8545 0.6455 0.7500
0.0000 0.0000 0.1704
0.0000 0.0000 0.8296
0.1503 0.6610 0.5000
0.1610 0.6503 0.0000
0.3390 0.1503 0.5000
0.3497 0.1610 0.0000
0.5000 0.5000 0.3296
0.5000 0.5000 0.6704
0.6503 0.8390 0.0000
0.6610 0.8497 0.5000
0.8390 0.3497 0.0000
0.8497 0.3390 0.5000
0.0000 0.0000 0.5000
0.5000 0.5000 0.0000
```

=====

Starting from the PBE geometry in Alexandria, the XRD peak list of La4Pr5Sc2 was simulated for Cu Kα.

Principal peaks in the range 2θ = 5–70°, by angle:
- 24.43°, 3.644 Å, I = 33
- 24.88°, 3.579 Å, I = 20
- 28.84°, 3.096 Å, I = 36
- 30.14°, 2.965 Å, I = 55
- 30.72°, 2.911 Å, I = 100
- 31.07°, 2.878 Å, I = 69
- 31.21°, 2.866 Å, I = 37
- 33.16°, 2.701 Å, I = 21
- 33.28°, 2.692 Å, I = 22
- 42.09°, 2.147 Å, I = 22
- 49.36°, 1.846 Å, I = 23
- 56.09°, 1.640 Å, I = 25

Crystal structure
```
La4Pr5Sc2
1.0
11.8931 -1.8463 0.0000
11.8931 1.8463 0.0000
-3.6268 0.0000 8.6493
La Pr Sc
4 5 2
direct
0.0206 0.0206 0.3387
0.1715 0.1715 0.3868
0.8285 0.8285 0.6132
0.9794 0.9794 0.6613
0.1244 0.1244 0.9751
0.2376 0.2376 0.8122
0.5000 0.5000 0.0000
0.7624 0.7624 0.1878
0.8756 0.8756 0.0249
0.3938 0.3938 0.3513
0.6062 0.6062 0.6487
```

=====

Starting from the PBE geometry in Alexandria, the XRD peak list of La2PrScSe4 was simulated for Cu Kα.

Principal peaks in the range 2θ = 5–70°, by angle:
- 14.91°, 5.943 Å, I = 3
- 24.93°, 3.571 Å, I = 3
- 26.15°, 3.407 Å, I = 3
- 30.09°, 2.970 Å, I = 100
- 42.62°, 2.121 Å, I = 12
- 42.94°, 2.106 Å, I = 25
- 43.19°, 2.095 Å, I = 24
- 43.53°, 2.079 Å, I = 12
- 52.83°, 1.733 Å, I = 6
- 53.25°, 1.720 Å, I = 6
- 53.81°, 1.704 Å, I = 13
- 62.54°, 1.485 Å, I = 11

Crystal structure
```
La2PrScSe4
1.0
7.2753 0.0000 0.0000
0.0000 4.1584 0.0000
-2.3816 0.0000 6.9319
La Pr Sc Se
2 1 1 4
direct
0.0000 0.0000 0.0000
0.0000 0.5000 0.5000
0.5000 0.0000 0.5000
0.5000 0.5000 0.0000
0.2630 0.5000 0.2393
0.2733 0.0000 0.7723
0.7267 0.0000 0.2277
0.7370 0.5000 0.7607
```

=====

Starting from the PBE geometry in Alexandria, the XRD peak list of La6PrSm2Sc was simulated for Cu Kα.

Principal peaks in the range 2θ = 5–70°, by angle:
- 21.53°, 4.127 Å, I = 23
- 25.50°, 3.494 Å, I = 64
- 29.32°, 3.046 Å, I = 37
- 30.49°, 2.932 Å, I = 100
- 30.84°, 2.899 Å, I = 82
- 31.21°, 2.866 Å, I = 67
- 32.29°, 2.772 Å, I = 39
- 32.44°, 2.760 Å, I = 46
- 35.76°, 2.511 Å, I = 22
- 47.71°, 1.906 Å, I = 27
- 49.08°, 1.856 Å, I = 21
- 54.87°, 1.673 Å, I = 29

Crystal structure
```
La6PrSm2Sc
1.0
5.0996 -3.7126 0.0000
5.0996 3.7126 0.0000
-1.6365 0.0000 9.2814
La Pr Sm Sc
6 1 2 1
direct
0.0901 0.6408 0.2338
0.1313 0.1313 0.1289
0.3592 0.9099 0.7662
0.6408 0.0901 0.2338
0.8687 0.8687 0.8711
0.9099 0.3592 0.7662
0.5000 0.5000 0.0000
0.3438 0.3438 0.5530
0.6562 0.6562 0.4470
0.0000 0.0000 0.5000
```

=====

Starting from the PBE geometry in Alexandria, the XRD peak list of LaPr2SmSc was simulated for Cu Kα.

Principal peaks in the range 2θ = 5–70°, by angle:
- 26.12°, 3.411 Å, I = 12
- 26.51°, 3.362 Å, I = 10
- 27.93°, 3.194 Å, I = 41
- 28.85°, 3.094 Å, I = 21
- 29.69°, 3.009 Å, I = 100
- 30.04°, 2.975 Å, I = 31
- 38.62°, 2.332 Å, I = 19
- 38.89°, 2.316 Å, I = 14
- 39.30°, 2.293 Å, I = 15
- 46.57°, 1.950 Å, I = 9
- 50.53°, 1.806 Å, I = 23
- 55.73°, 1.649 Å, I = 19

Crystal structure
```
LaPr2SmSc
1.0
6.3885 0.0000 0.0000
0.0000 7.9167 0.0000
0.0000 0.0000 6.7235
La Pr Sm Sc
2 4 2 2
direct
0.2500 0.0000 0.1910
0.7500 0.0000 0.8090
0.2500 0.2062 0.7135
0.2500 0.7938 0.7135
0.7500 0.2062 0.2865
0.7500 0.7938 0.2865
0.2500 0.5000 0.0916
0.7500 0.5000 0.9084
0.0000 0.5000 0.5000
0.5000 0.5000 0.5000
```

=====

Starting from the PBE geometry in Alexandria, the XRD peak list of La2Tb6Pr3Sc was simulated for Cu Kα.

Principal peaks in the range 2θ = 5–70°, by angle:
- 7.53°, 11.744 Å, I = 2
- 15.09°, 5.872 Å, I = 2
- 30.36°, 2.944 Å, I = 100
- 30.45°, 2.936 Å, I = 33
- 35.23°, 2.548 Å, I = 67
- 50.62°, 1.803 Å, I = 24
- 50.73°, 1.800 Å, I = 24
- 60.21°, 1.537 Å, I = 43
- 60.32°, 1.534 Å, I = 14
- 63.17°, 1.472 Å, I = 8
- 63.18°, 1.472 Å, I = 4
- 63.36°, 1.468 Å, I = 4

Crystal structure
```
La2Tb6Pr3Sc
1.0
3.1231 -5.4097 0.0000
3.1231 5.4097 0.0000
-2.0798 0.0000 11.7442
La Tb Pr Sc
2 6 3 1
direct
0.1661 0.8339 0.0000
0.8339 0.1661 0.0000
0.0883 0.4179 0.7522
0.2524 0.2524 0.2482
0.4179 0.0883 0.7522
0.5821 0.9117 0.2478
0.7476 0.7476 0.7518
0.9117 0.5821 0.2478
0.0000 0.0000 0.5000
0.3333 0.6667 0.5000
0.6667 0.3333 0.5000
0.5000 0.5000 0.0000
```

=====

Starting from the PBE geometry in Alexandria, the XRD peak list of La5Tb2PrSc was simulated for Cu Kα.

Principal peaks in the range 2θ = 5–70°, by angle:
- 24.67°, 3.609 Å, I = 34
- 27.37°, 3.259 Å, I = 55
- 30.68°, 2.915 Å, I = 35
- 30.81°, 2.903 Å, I = 100
- 32.34°, 2.768 Å, I = 58
- 35.11°, 2.556 Å, I = 23
- 40.35°, 2.235 Å, I = 21
- 40.99°, 2.202 Å, I = 11
- 47.39°, 1.918 Å, I = 13
- 48.74°, 1.868 Å, I = 12
- 50.56°, 1.805 Å, I = 20
- 56.54°, 1.628 Å, I = 27

Crystal structure
```
La5Tb2PrSc
1.0
9.2167 0.0000 0.0000
0.0000 9.2167 0.0000
0.0000 0.0000 7.4737
La Tb Pr Sc
10 4 2 2
direct
0.0000 0.0000 0.0000
0.2053 0.2947 0.2788
0.2053 0.2947 0.7212
0.2947 0.7947 0.2788
0.2947 0.7947 0.7212
0.5000 0.5000 0.0000
0.7053 0.2053 0.2788
0.7053 0.2053 0.7212
0.7947 0.7053 0.2788
0.7947 0.7053 0.7212
0.1126 0.6126 0.0000
0.3874 0.1126 0.0000
0.6126 0.8874 0.0000
0.8874 0.3874 0.0000
0.0000 0.0000 0.5000
0.5000 0.5000 0.5000
0.0000 0.5000 0.5000
0.5000 0.0000 0.5000
```

=====

Starting from the PBE geometry in Alexandria, the XRD peak list of LaPr2Y4Sc was simulated for Cu Kα.

Principal peaks in the range 2θ = 5–70°, by angle:
- 15.11°, 5.862 Å, I = 4
- 19.05°, 4.659 Å, I = 5
- 24.40°, 3.647 Å, I = 4
- 30.50°, 2.931 Å, I = 56
- 31.77°, 2.817 Å, I = 100
- 36.21°, 2.481 Å, I = 2
- 43.67°, 2.073 Å, I = 21
- 47.36°, 1.920 Å, I = 8
- 55.01°, 1.669 Å, I = 41
- 57.38°, 1.606 Å, I = 17
- 63.48°, 1.465 Å, I = 7
- 66.38°, 1.408 Å, I = 11

Crystal structure
```
LaPr2Y4Sc
1.0
5.8620 0.0000 0.0000
0.0000 5.8620 0.0000
0.0000 0.0000 7.6783
La Pr Y Sc
1 2 4 1
direct
0.0000 0.0000 0.0000
0.0000 0.0000 0.5000
0.5000 0.5000 0.0000
0.0000 0.5000 0.2621
0.0000 0.5000 0.7379
0.5000 0.0000 0.2621
0.5000 0.0000 0.7379
0.5000 0.5000 0.5000
```

=====

Starting from the PBE geometry in Alexandria, the XRD peak list of LaPrSe2 was simulated for Cu Kα.

Principal peaks in the range 2θ = 5–70°, by angle:
- 23.95°, 3.716 Å, I = 6
- 24.85°, 3.583 Å, I = 22
- 25.81°, 3.451 Å, I = 35
- 29.36°, 3.042 Å, I = 17
- 31.79°, 2.815 Å, I = 100
- 37.57°, 2.394 Å, I = 44
- 43.17°, 2.096 Å, I = 54
- 47.88°, 1.900 Å, I = 15
- 49.03°, 1.858 Å, I = 11
- 54.60°, 1.681 Å, I = 21
- 58.54°, 1.577 Å, I = 12
- 67.36°, 1.390 Å, I = 26

Crystal structure
```
LaPrSe2
1.0
4.1912 0.0000 0.0000
-2.0956 3.6297 0.0000
0.0000 0.0000 22.2957
La Pr Se
3 3 6
direct
0.0000 0.0000 0.0000
0.3333 0.6667 0.6667
0.6667 0.3333 0.3333
0.0000 0.0000 0.1768
0.3333 0.6667 0.8434
0.6667 0.3333 0.5101
0.0000 0.0000 0.5865
0.0000 0.0000 0.7566
0.3333 0.6667 0.2531
0.3333 0.6667 0.4233
0.6667 0.3333 0.0900
0.6667 0.3333 0.9198
```

=====

Starting from the PBE geometry in Alexandria, the XRD peak list of LaPrSe2 was simulated for Cu Kα.

Principal peaks in the range 2θ = 5–70°, by angle:
- 27.27°, 3.270 Å, I = 100
- 30.68°, 2.914 Å, I = 85
- 34.94°, 2.568 Å, I = 26
- 39.84°, 2.263 Å, I = 40
- 42.65°, 2.120 Å, I = 67
- 45.21°, 2.006 Å, I = 26
- 50.84°, 1.796 Å, I = 13
- 51.36°, 1.779 Å, I = 17
- 53.45°, 1.714 Å, I = 18
- 59.77°, 1.547 Å, I = 12
- 68.47°, 1.370 Å, I = 32
- 68.90°, 1.363 Å, I = 14

Crystal structure
```
LaPrSe2
1.0
4.2403 0.0000 0.0000
-2.1201 3.6722 0.0000
0.0000 0.0000 14.3671
La Pr Se
2 2 4
direct
0.0000 0.0000 0.0000
0.0000 0.0000 0.5000
0.3333 0.6667 0.2500
0.6667 0.3333 0.7500
0.3333 0.6667 0.6242
0.3333 0.6667 0.8758
0.6667 0.3333 0.1242
0.6667 0.3333 0.3758
```

=====

Starting from the PBE geometry in Alexandria, the XRD peak list of La3Pr5Se8 was simulated for Cu Kα.

Principal peaks in the range 2θ = 5–70°, by angle:
- 25.46°, 3.498 Å, I = 14
- 29.48°, 3.030 Å, I = 100
- 42.18°, 2.142 Å, I = 75
- 49.92°, 1.827 Å, I = 7
- 52.30°, 1.749 Å, I = 27
- 61.19°, 1.515 Å, I = 12
- 67.34°, 1.390 Å, I = 2
- 67.44°, 1.389 Å, I = 1
- 69.36°, 1.355 Å, I = 34

Crystal structure
```
La3Pr5Se8
1.0
4.2870 2.4751 6.9882
-4.2870 2.4751 6.9882
0.0000 -4.9501 6.9882
La Pr Se
3 5 8
direct
0.0000 0.5000 0.5000
0.5000 0.0000 0.5000
0.5000 0.5000 0.0000
0.0000 0.0000 0.0000
0.0000 0.0000 0.5000
0.0000 0.5000 0.0000
0.5000 0.0000 0.0000
0.5000 0.5000 0.5000
0.2491 0.7500 0.7500
0.2495 0.2495 0.2495
0.2500 0.2500 0.7509
0.2500 0.7509 0.2500
0.7500 0.2491 0.7500
0.7500 0.7500 0.2491
0.7505 0.7505 0.7505
0.7509 0.2500 0.2500
```